# In10Pb6S21
Calculated powder X-ray diffraction pattern, Cu Kα, 1.54184 Å. Input: the PBE geometry in Alexandria.

Structural model:
Unit cell a=3.9074 b=14.0917 c=15.9452 alpha=95.52 beta=90.03 gamma=97.97
Space group P1 (No. 1)
Inequivalent atoms, fractional coordinates:
In: 0.0000 0.0000 0.0000 [1 per cell]
In: 0.0275 0.0538 0.2560 [1 per cell]
In: 0.2018 0.4021 0.6123 [1 per cell]
In: 0.2513 0.4990 0.0196 [1 per cell]
In: 0.3042 0.5969 0.4367 [1 per cell]
In: 0.4139 0.8272 0.1472 [1 per cell]
In: 0.6142 0.2270 0.1088 [1 per cell]
In: 0.7335 0.4560 0.8194 [1 per cell]
In: 0.7795 0.5550 0.2363 [1 per cell]
In: 0.8251 0.6507 0.6438 [1 per cell]
Pb: 0.3749 0.7549 0.8869 [1 per cell]
Pb: 0.4385 0.8770 0.4225 [1 per cell]
Pb: 0.4580 0.9271 0.6979 [1 per cell]
Pb: 0.5648 0.1252 0.5570 [1 per cell]
Pb: 0.5876 0.1752 0.8327 [1 per cell]
Pb: 0.6494 0.2988 0.3692 [1 per cell]
S: 0.0467 0.0940 0.7215 [1 per cell]
S: 0.0925 0.1842 0.0014 [1 per cell]
S: 0.1164 0.2314 0.2233 [1 per cell]
S: 0.1313 0.2628 0.4944 [1 per cell]
S: 0.1901 0.3713 0.8883 [1 per cell]
S: 0.2333 0.4642 0.3155 [1 per cell]
S: 0.2693 0.5540 0.7256 [1 per cell]
S: 0.3195 0.6356 0.1530 [1 per cell]
S: 0.3622 0.7258 0.5645 [1 per cell]
S: 0.4867 0.9742 0.8926 [1 per cell]
S: 0.5141 0.0268 0.1281 [1 per cell]
S: 0.5405 0.0794 0.3634 [1 per cell]
S: 0.6641 0.3272 0.6916 [1 per cell]
S: 0.7109 0.4184 0.1029 [1 per cell]
S: 0.7409 0.4988 0.5300 [1 per cell]
S: 0.7959 0.5895 0.9401 [1 per cell]
S: 0.8455 0.6821 0.3680 [1 per cell]
S: 0.8933 0.7903 0.7615 [1 per cell]
S: 0.9115 0.8224 0.0327 [1 per cell]
S: 0.9354 0.8695 0.2547 [1 per cell]
S: 0.9803 0.9584 0.5340 [1 per cell]

Peak list (10 most intense, 15 to 90 degrees two-theta, in order of rising 2θ)
hkl, Position (°2θ), Rel. int.
1 -1 0, 22.98, 47.1
0 2 -4, 24.74, 51.1
0 4 -1, 25.73, 100.0
0 3 3, 26.79, 56.3
1 2 -3, 31.89, 98.0
0 5 -1, 32.15, 48.1
1 0 4, 32.55, 68.1
1 4 -1, 37.11, 37.4
2 -1 0, 46.48, 53.7
-1 1 7, 46.71, 44.1